No. 1
For Li2H2SO5, a DFT-relaxed cell (GGA-PBE, the Materials Project) gives the computed X-ray powder pattern in this record (copper Kα).
No peak broadening, texture or thermal motion is included.

Structure:
```
Li2H2SO5
1.0
5.5559 0.0000 0.0000
0.0000 4.9040 0.0000
-2.4327 0.0000 7.9037
Li H S O
4 4 2 10
Direct
0.0603 0.0000 0.3949
0.1967 0.4904 0.0068
0.8033 0.9904 0.9932
0.9397 0.5000 0.6051
0.4697 0.1039 0.3095
0.4951 0.3560 0.5596
0.5049 0.8560 0.4404
0.5303 0.6039 0.6905
0.2067 0.9868 0.7915
0.7933 0.4868 0.2085
0.0648 0.8768 0.6216
0.1010 0.8655 0.9220
0.1731 0.2891 0.7903
0.4129 0.0264 0.4018
0.4764 0.9141 0.8286
0.5236 0.4141 0.1714
0.5871 0.5264 0.5982
0.8269 0.7891 0.2097
0.8990 0.3655 0.0780
0.9352 0.3768 0.3784
```

The 10 most intense peaks (5° ≤ 2θ ≤ 70°), low angle first:
hkl 1 0 -1, 2θ = 17.16°, rel. 84
hkl 0 1 1, 2θ = 21.32°, rel. 100
hkl 0 0 2, 2θ = 22.50°, rel. 24
hkl 1 0 1, 2θ = 22.76°, rel. 86
hkl 1 0 -2, 2θ = 23.79°, rel. 28
hkl 1 1 0, 2θ = 24.71°, rel. 89
hkl 0 1 2, 2θ = 29.02°, rel. 54
hkl 1 1 -2, 2θ = 30.04°, rel. 46
hkl 2 0 -1, 2θ = 32.26°, rel. 44
hkl 0 2 0, 2θ = 36.65°, rel. 35

***

No. 2
For LiH7S4O16, a DFT-relaxed cell (GGA-PBE, the Materials Project) gives the computed X-ray powder pattern in this record (copper Kα).
No peak broadening, texture or thermal motion is included.

Structure:
```
LiH7S4O16
1.0
5.0677 0.0000 0.0000
1.1475 7.2441 0.0000
0.4373 1.1958 8.7233
Li H S O
1 7 4 16
Direct
0.0000 0.0000 0.0000
0.1325 0.4744 0.8091
0.3111 0.5690 0.3099
0.4298 0.9217 0.7248
0.5594 0.0766 0.2527
0.6855 0.4176 0.6554
0.8728 0.5149 0.1652
0.9726 0.9756 0.4895
0.1694 0.2209 0.3016
0.4710 0.2558 0.8228
0.5333 0.7347 0.1487
0.8157 0.7718 0.6737
0.0717 0.1445 0.4541
0.0868 0.1365 0.1762
0.1032 0.4280 0.2806
0.2878 0.4243 0.8792
0.3108 0.7792 0.0478
0.3141 0.1089 0.8101
0.4397 0.6622 0.3145
0.4844 0.1882 0.3037
0.5039 0.8070 0.6754
0.5575 0.3248 0.6545
0.6880 0.8818 0.1654
0.6964 0.2146 0.9212
0.7196 0.5687 0.0916
0.8858 0.5678 0.6921
0.9048 0.8416 0.5112
0.9140 0.8657 0.7871
```

The 10 most intense peaks (5° ≤ 2θ ≤ 70°), low angle first:
hkl 1 0 1, 2θ = 20.21°, rel. 48
hkl 0 0 2, 2θ = 20.36°, rel. 57
hkl 0 1 2, 2θ = 22.37°, rel. 76
hkl 1 -1 0, 2θ = 23.16°, rel. 35
hkl 1 1 -1, 2θ = 23.49°, rel. 49
hkl -1 1 1, 2θ = 24.83°, rel. 100
hkl 0 1 -2, 2θ = 25.29°, rel. 40
hkl 1 0 2, 2θ = 26.74°, rel. 35
hkl 1 2 1, 2θ = 28.78°, rel. 37
hkl 1 1 -2, 2θ = 30.27°, rel. 46

***

No. 3
For Li2SnH14Se3O7, a DFT-relaxed cell (GGA-PBE, the Materials Project) gives the computed X-ray powder pattern in this record (copper Kα).
No peak broadening, texture or thermal motion is included.

Structure:
```
Li2SnH14Se3O7
1.0
7.5597 0.0000 0.0000
2.5406 9.2258 0.0000
3.4048 1.5133 10.0461
Li Sn H Se O
4 2 28 6 14
Direct
0.0572 0.2562 0.1304
0.3099 0.9144 0.7821
0.6901 0.0856 0.2179
0.9428 0.7438 0.8696
0.4079 0.6246 0.3770
0.5921 0.3754 0.6230
0.0021 0.4053 0.9006
0.0167 0.4440 0.2873
0.0556 0.1379 0.7172
0.1077 0.1773 0.8352
0.2079 0.7763 0.6568
0.2132 0.3494 0.9042
0.2238 0.0072 0.2271
0.2271 0.4371 0.1956
0.2949 0.6621 0.7674
0.3106 0.9433 0.0188
0.3764 0.0235 0.3964
0.3769 0.0903 0.1215
0.3973 0.1755 0.4179
0.4001 0.7770 0.0082
0.5999 0.2230 0.9918
0.6027 0.8245 0.5821
0.6231 0.9097 0.8785
0.6236 0.9765 0.6036
0.6894 0.0567 0.9812
0.7051 0.3379 0.2326
0.7729 0.5629 0.8044
0.7762 0.9928 0.7729
0.7868 0.6506 0.0958
0.7921 0.2237 0.3432
0.8923 0.8227 0.1648
0.9444 0.8621 0.2828
0.9833 0.5560 0.7127
0.9979 0.5947 0.0994
0.1685 0.8553 0.4320
0.2846 0.4024 0.5452
0.4859 0.4443 0.8528
0.5141 0.5557 0.1472
0.7154 0.5976 0.4548
0.8315 0.1447 0.5680
0.0875 0.3188 0.9357
0.1000 0.4238 0.1989
0.1240 0.0972 0.7852
0.2030 0.7567 0.7529
0.2480 0.0705 0.1386
0.3767 0.8741 0.9531
0.4526 0.1002 0.3594
0.5474 0.8998 0.6406
0.6233 0.1259 0.0469
0.7520 0.9295 0.8614
0.7970 0.2433 0.2471
0.8760 0.9028 0.2148
0.9000 0.5762 0.8011
0.9125 0.6812 0.0643
```

The 10 most intense peaks (5° ≤ 2θ ≤ 70°), low angle first:
hkl 0 0 1, 2θ = 8.80°, rel. 100
hkl 0 1 0, 2θ = 9.69°, rel. 83
hkl 0 1 1, 2θ = 12.09°, rel. 43
hkl 1 0 0, 2θ = 12.63°, rel. 50
hkl 1 1 1, 2θ = 13.89°, rel. 50
hkl 1 1 0, 2θ = 14.22°, rel. 79
hkl 1 2 -1, 2θ = 25.10°, rel. 35
hkl 2 1 2, 2θ = 25.50°, rel. 54
hkl 2 2 1, 2θ = 26.84°, rel. 26
hkl 1 2 -2, 2θ = 31.46°, rel. 31

***

No. 4
For LiSm4H4O8, a DFT-relaxed cell (GGA-PBE, the Materials Project) gives the computed X-ray powder pattern in this record (copper Kα).
No peak broadening, texture or thermal motion is included.

Structure:
```
LiSm4H4O8
1.0
5.3261 0.0000 0.0000
0.0000 3.6213 0.0000
-0.6240 0.0000 11.1721
Li Sm H O
1 4 4 8
Direct
0.0000 0.0000 0.0000
0.1838 0.0000 0.3614
0.4907 0.0000 0.8481
0.6781 0.5000 0.1603
0.9674 0.5000 0.6454
0.2634 0.0000 0.1185
0.4256 0.0000 0.6025
0.7169 0.5000 0.4002
0.9533 0.5000 0.8964
0.1968 0.5000 0.8219
0.2429 0.0000 0.5743
0.4072 0.0000 0.0645
0.4267 0.5000 0.3155
0.7158 0.0000 0.6834
0.7997 0.5000 0.9501
0.9027 0.5000 0.4193
0.9545 0.0000 0.1766
```

The 10 most intense peaks (5° ≤ 2θ ≤ 70°), low angle first:
hkl 1 0 -1, 2θ = 18.07°, rel. 58
hkl 1 0 1, 2θ = 18.88°, rel. 60
hkl 1 0 2, 2θ = 23.74°, rel. 57
hkl 1 0 -3, 2θ = 28.48°, rel. 52
hkl 0 1 2, 2θ = 29.39°, rel. 100
hkl 1 1 0, 2θ = 29.85°, rel. 62
hkl 1 1 -1, 2θ = 30.68°, rel. 84
hkl 1 1 1, 2θ = 31.18°, rel. 64
hkl 0 0 4, 2θ = 32.05°, rel. 49
hkl 2 1 -3, 2θ = 48.02°, rel. 40